This entry pairs a crystal structure of Pu7GeCl12 with its calculated X-ray powder pattern. Radiation: Cu Kα (weighted mean of Kα1 and Kα2). Structure: a crystal structure in Alexandria, relaxed with PBE.

Main lines, by angle (2θ = 10–80°):
11.25 deg, intensity 253
11.99 deg, intensity 650
16.47 deg, intensity 230
20.43 deg, intensity 301
25.67 deg, intensity 204
26.69 deg, intensity 408
30.95 deg, intensity 1000
44.26 deg, intensity 350
44.41 deg, intensity 369
52.48 deg, intensity 216

Atomic structure:
Cell: 14.7580 14.7580 9.9786 Å, 90.00 90.00 120.00°
Space group R-3 (No. 148, hexagonal axes)
Symmetry-distinct sites (fractional):
Pu1 0.0000 0.0000 0.0000
Pu2 0.0417 0.1780 0.3334
Ge1 0.0000 0.0000 0.5000
Cl1 0.0294 0.5816 0.1597
Cl2 0.0406 0.1685 0.8319